Structure and calculated XRD peak list of Li3Co2O5 (DFT lattice parameters and positions (PBE+U); λ = 1.5418 Å (Cu Kα)).

The 6 most intense peaks (10° ≤ 2θ ≤ 80°), in order of rising 2θ:
| Position (°2θ) | d [Å] | I_rel | hkl |
| --- | --- | --- | --- |
| 18.59 | 4.772 | 100 | 0 1 0 |
| 35.99 | 2.496 | 14 | 1 0 -2 |
| 43.28 | 2.091 | 29 | -1 1 2 |
| 44.83 | 2.022 | 26 | 2 2 1 |
| 44.97 | 2.016 | 26 | 1 -1 3 |
| 64.78 | 1.439 | 14 | 0 0 5 |

Structural model:
Cell lengths 4.963, 5.024, 7.548 Å; angles 83.36, 72.48, 71.82 degrees
Sites, in units of the cell vectors:
Li 0.000 0.000 0.000
Li 0.091 0.503 0.804
Li 0.318 0.488 0.394
Li 0.500 0.500 0.000
Li 0.682 0.512 0.606
Li 0.909 0.497 0.196
Co 0.190 0.008 0.609
Co 0.404 0.992 0.194
Co 0.596 0.008 0.806
Co 0.810 0.992 0.391
O 0.075 0.209 0.390
O 0.173 0.761 0.206
O 0.283 0.220 0.004
O 0.352 0.785 0.788
O 0.441 0.228 0.615
O 0.559 0.772 0.385
O 0.648 0.215 0.212
O 0.717 0.780 0.996
O 0.827 0.239 0.794
O 0.925 0.791 0.610